Record 1
The following is a simulated X-ray powder pattern of In2GaAg7Sb2. It was derived from a PBE-relaxed structure, using λ = 1.5418 Å (Cu Kα).
Neutral-atom scattering factors, no anomalous dispersion.

Cell and atoms:
Lattice parameters (Å, degrees): 4.0184 4.0184 15.9876 96.98 96.98 90.01
Fractional positions:
In1 0.1385 0.1385 0.2758
In2 0.8615 0.8615 0.7242
Ga1 0.5000 0.5000 0.0000
Ag1 0.0000 0.0000 0.0000
Ag2 0.0665 0.5668 0.1365
Ag3 0.2283 0.2283 0.4572
Ag4 0.4332 0.9335 0.8635
Ag5 0.5668 0.0665 0.1365
Ag6 0.7717 0.7717 0.5428
Ag7 0.9335 0.4332 0.8635
Sb1 0.3157 0.3157 0.6345
Sb2 0.6842 0.6842 0.3655

Most intense lines, 10° ≤ 2θ ≤ 90°, low angle first:
Position (°2θ)	I/Imax
32.01	816
35.91	835
38.53	387
38.69	382
39.09	389
45.13	1000

Record 2
The following is a simulated X-ray powder pattern of Ba5SbSe8. It was derived from a PBE-relaxed structure, using λ = 1.5418 Å (Cu Kα).
Neutral-atom scattering factors, no anomalous dispersion.

Cell and atoms:
Lattice parameters (Å, degrees): 8.3941 8.3941 8.3941 111.54 111.54 105.41
Fractional positions:
Ba1 0.0000 0.0000 0.0000
Ba2 0.2523 0.1261 0.6256
Ba3 0.3733 0.7477 0.8738
Ba4 0.5004 0.6267 0.3744
Ba5 0.8739 0.4996 0.1262
Sb1 0.7500 0.2500 0.5000
Se1 0.0915 0.3764 0.8756
Se2 0.1508 0.3855 0.4226
Se3 0.2717 0.8492 0.2346
Se4 0.5008 0.2160 0.1244
Se5 0.6145 0.0371 0.7654
Se6 0.6236 0.4992 0.7152
Se7 0.7840 0.9085 0.2848
Se8 0.9629 0.7283 0.5774

Most intense lines, 10° ≤ 2θ ≤ 90°, low angle first:
Position (°2θ)	I/Imax
27.96	985
29.71	705
29.92	1000
33.90	753
34.84	565
35.39	455